No. 1
Structure and calculated PXRD pattern of K2ScTe3O12 (a crystal structure in Alexandria, relaxed with PBE; Cu Kα X-rays).

Most intense lines, 10 to 90 degrees two-theta, by angle:
14.76°, I 88; 17.07°, I 8; 28.50°, I 100; 29.79°, I 63; 45.36°, I 30; 49.65°, I 43; 52.10°, I 16; 58.98°, I 26; 64.00°, I 11; 69.49°, I 15

Structure:
```
data_K2ScTe3O12
_chemical_formula_sum 'K6 Sc3 Te9 O36'
_cell_length_a 7.3409
_cell_length_b 7.3409
_cell_length_c 18.0133
_cell_angle_alpha 90.00
_cell_angle_beta 90.00
_cell_angle_gamma 120.00
_space_group_name_H-M_alt 'R -3 m'
_space_group_IT_number 166
_space_group_name_Hall '-R 3 2"'
loop_
_atom_site_label
_atom_site_fract_x
_atom_site_fract_y
_atom_site_fract_z
_atom_site_occupancy
K1 0.0000 0.0000 0.1310 1
Sc1 0.0000 0.0000 0.5000 1
Te1 0.0000 0.5000 0.0000 1
O1 0.0583 0.5292 0.1027 1
O2 0.0673 0.5337 0.3551 1
```

***

No. 2
Structure and calculated PXRD pattern of ErTh2AgRh5 (a crystal structure in Alexandria, relaxed with PBE; Cu Kα X-rays).

Most intense lines, 10 to 90 degrees two-theta, by angle:
25.31°, I 13; 30.49°, I 31; 34.17°, I 100; 37.92°, I 13; 38.95°, I 29; 40.03°, I 13; 46.75°, I 17; 47.61°, I 24; 51.68°, I 15; 59.92°, I 11

Structure:
```
data_ErTh2AgRh5
_chemical_formula_sum 'Er4 Th8 Ag4 Rh20'
_cell_length_a 8.2932
_cell_length_b 8.2932
_cell_length_c 11.1413
_cell_angle_alpha 90.00
_cell_angle_beta 90.00
_cell_angle_gamma 90.00
_space_group_name_H-M_alt 'I 4/m c m'
_space_group_IT_number 140
_space_group_name_Hall '-I 4 2c'
loop_
_atom_site_label
_atom_site_fract_x
_atom_site_fract_y
_atom_site_fract_z
_atom_site_occupancy
Er1 0.0000 0.0000 0.2500 1
Th1 0.1394 0.3606 0.0000 1
Ag1 0.0000 0.5000 0.2500 1
Rh1 0.0000 0.0000 0.0000 1
Rh2 0.1941 0.3059 0.3623 1
```

***

No. 3
Structure and calculated PXRD pattern of RbTcPbO5 (a crystal structure in Alexandria, relaxed with PBE; Cu Kα X-rays).

Most intense lines, 10 to 90 degrees two-theta, by angle:
14.42°, I 45; 22.91°, I 90; 23.86°, I 80; 27.44°, I 100; 28.33°, I 65; 30.85°, I 35; 30.98°, I 28; 35.52°, I 30; 43.03°, I 25; 44.23°, I 30

Structure:
```
data_RbTcPbO5
_chemical_formula_sum 'Rb4 Tc4 Pb4 O20'
_cell_length_a 8.0903
_cell_length_b 10.8364
_cell_length_c 8.4005
_cell_angle_alpha 90.00
_cell_angle_beta 112.79
_cell_angle_gamma 90.00
_space_group_name_H-M_alt 'C 1 2/c 1'
_space_group_IT_number 15
loop_
_space_group_symop_operation_xyz
'x,y,z'
'-x,-y,-z'
'-x,y,-z+1/2'
'x,-y,z+1/2'
'x+1/2,y+1/2,z'
'-x+1/2,-y+1/2,-z'
'-x+1/2,y+1/2,-z+1/2'
'x+1/2,-y+1/2,z+1/2'
loop_
_atom_site_label
_atom_site_fract_x
_atom_site_fract_y
_atom_site_fract_z
_atom_site_occupancy
Rb1 0.0000 0.1781 0.2500 1
Tc1 0.0000 0.1772 0.7500 1
Pb1 0.0000 0.5000 0.0000 1
O1 0.0000 0.4353 0.2500 1
O2 0.0998 0.2730 0.6413 1
O3 0.1583 0.0813 0.9038 1
```

***

No. 4
Structure and calculated PXRD pattern of HoPu2As3 (a crystal structure in Alexandria, relaxed with PBE; Cu Kα X-rays).

Most intense lines, 10 to 90 degrees two-theta, by angle:
26.49°, I 40; 30.68°, I 100; 43.94°, I 63; 43.99°, I 13; 52.05°, I 20; 54.55°, I 27; 63.90°, I 13; 72.56°, I 29; 80.74°, I 13; 80.85°, I 13

Structure:
```
data_HoPu2As3
_chemical_formula_sum 'Ho2 Pu4 As6'
_cell_length_a 4.1256
_cell_length_b 5.8264
_cell_length_c 12.3496
_cell_angle_alpha 90.00
_cell_angle_beta 90.00
_cell_angle_gamma 90.00
_space_group_name_H-M_alt 'I m m m'
_space_group_IT_number 71
_space_group_name_Hall '-I 2 2'
loop_
_atom_site_label
_atom_site_fract_x
_atom_site_fract_y
_atom_site_fract_z
_atom_site_occupancy
Ho1 0.0000 0.0000 0.0000 1
Pu1 0.0000 0.0000 0.3340 1
As1 0.0000 0.5000 0.0000 1
As2 0.0000 0.5000 0.3323 1
```

***

No. 5
Structure and calculated PXRD pattern of TbEr4Sb2 (a crystal structure in Alexandria, relaxed with PBE; Cu Kα X-rays).

Most intense lines, 10 to 90 degrees two-theta, by angle:
10.84°, I 39; 24.06°, I 35; 26.46°, I 61; 32.33°, I 67; 32.68°, I 39; 32.92°, I 34; 34.29°, I 100; 47.84°, I 45; 48.27°, I 47; 49.28°, I 36

Structure:
```
data_TbEr4Sb2
_chemical_formula_sum 'Tb2 Er8 Sb4'
_cell_length_a 5.2300
_cell_length_b 5.2300
_cell_length_c 16.3233
_cell_angle_alpha 90.00
_cell_angle_beta 90.00
_cell_angle_gamma 90.00
_space_group_name_H-M_alt 'I 4/m m m'
_space_group_IT_number 139
_space_group_name_Hall '-I 4 2'
loop_
_atom_site_label
_atom_site_fract_x
_atom_site_fract_y
_atom_site_fract_z
_atom_site_occupancy
Tb1 0.0000 0.0000 0.0000 1
Er1 0.0000 0.0000 0.1837 1
Er2 0.0000 0.5000 0.0000 1
Sb1 0.0000 0.0000 0.3669 1
```

***

No. 6
Structure and calculated PXRD pattern of La3PmS4 (a crystal structure in Alexandria, relaxed with PBE; Cu Kα X-rays).

Most intense lines, 10 to 90 degrees two-theta, by angle:
26.39°, I 36; 26.53°, I 35; 30.64°, I 100; 43.73°, I 12; 43.88°, I 48; 51.89°, I 18; 54.32°, I 13; 54.63°, I 13; 72.42°, I 21; 80.46°, I 12

Structure:
```
data_La3PmS4
_chemical_formula_sum 'La6 Pm2 S8'
_cell_length_a 8.2804
_cell_length_b 11.6795
_cell_length_c 4.1082
_cell_angle_alpha 90.00
_cell_angle_beta 90.00
_cell_angle_gamma 90.00
_space_group_name_H-M_alt 'C m m m'
_space_group_IT_number 65
_space_group_name_Hall '-C 2 2'
loop_
_atom_site_label
_atom_site_fract_x
_atom_site_fract_y
_atom_site_fract_z
_atom_site_occupancy
La1 0.0000 0.0000 0.0000 1
La2 0.2500 0.2500 0.5000 1
Pm1 0.0000 0.5000 0.0000 1
S1 0.0000 0.2530 0.0000 1
S2 0.2443 0.5000 0.5000 1
```

***

No. 7
Structure and calculated PXRD pattern of Rb2ZrAgBr6 (a crystal structure in Alexandria, relaxed with PBE; Cu Kα X-rays).

Most intense lines, 10 to 90 degrees two-theta, by angle:
13.82°, I 35; 22.72°, I 22; 27.30°, I 20; 28.69°, I 53; 30.83°, I 100; 35.01°, I 29; 41.84°, I 22; 46.39°, I 52; 47.70°, I 21; 75.87°, I 20

Structure:
```
data_Rb2ZrAgBr6
_chemical_formula_sum 'Rb12 Zr6 Ag6 Br36'
_cell_length_a 7.8289
_cell_length_b 7.8289
_cell_length_c 39.2003
_cell_angle_alpha 90.00
_cell_angle_beta 90.00
_cell_angle_gamma 120.00
_space_group_name_H-M_alt 'R -3 m'
_space_group_IT_number 166
_space_group_name_Hall '-R 3 2"'
loop_
_atom_site_label
_atom_site_fract_x
_atom_site_fract_y
_atom_site_fract_z
_atom_site_occupancy
Rb1 0.0000 0.0000 0.1257 1
Rb2 0.0000 0.0000 0.2965 1
Zr1 0.0000 0.0000 0.0000 1
Zr2 0.0000 0.0000 0.5000 1
Ag1 0.0000 0.0000 0.4178 1
Br1 0.0054 0.5027 0.8714 1
Br2 0.0069 0.5035 0.7068 1
```

***

No. 8
Structure and calculated PXRD pattern of NaPrCdGa (a crystal structure in Alexandria, relaxed with PBE; Cu Kα X-rays).

Most intense lines, 10 to 90 degrees two-theta, by angle:
20.79°, I 29; 34.27°, I 100; 40.42°, I 16; 49.25°, I 18; 54.01°, I 7; 61.37°, I 36; 65.54°, I 5; 72.21°, I 11; 76.09°, I 5; 82.42°, I 15

Structure:
```
data_NaPrCdGa
_chemical_formula_sum 'Na4 Pr4 Cd4 Ga4'
_cell_length_a 7.4008
_cell_length_b 7.4008
_cell_length_c 7.4008
_cell_angle_alpha 90.00
_cell_angle_beta 90.00
_cell_angle_gamma 90.00
_space_group_name_H-M_alt 'F -4 3 m'
_space_group_IT_number 216
_space_group_name_Hall 'F -4 2 3'
loop_
_atom_site_label
_atom_site_fract_x
_atom_site_fract_y
_atom_site_fract_z
_atom_site_occupancy
Na1 0.0000 0.0000 0.0000 1
Pr1 0.0000 0.0000 0.5000 1
Cd1 0.2500 0.2500 0.2500 1
Ga1 0.2500 0.2500 0.7500 1
```

***

No. 9
Structure and calculated PXRD pattern of Nb3PtRh3 (a crystal structure in Alexandria, relaxed with PBE; Cu Kα X-rays).

Most intense lines, 10 to 90 degrees two-theta, by angle:
14.97°, I 11; 16.35°, I 11; 29.40°, I 42; 37.87°, I 13; 39.11°, I 17; 41.41°, I 100; 42.69°, I 76; 60.99°, I 24; 74.64°, I 16; 77.29°, I 18

Structure:
```
data_Nb3PtRh3
_chemical_formula_sum 'Nb18 Pt6 Rh18'
_cell_length_a 7.3366
_cell_length_b 7.3366
_cell_length_c 16.2676
_cell_angle_alpha 90.00
_cell_angle_beta 90.00
_cell_angle_gamma 120.00
_space_group_name_H-M_alt 'R -3'
_space_group_IT_number 148
_space_group_name_Hall '-R 3'
loop_
_atom_site_label
_atom_site_fract_x
_atom_site_fract_y
_atom_site_fract_z
_atom_site_occupancy
Nb1 0.0007 0.2911 0.0624 1
Pt1 0.0000 0.0000 0.3317 1
Rh1 0.0041 0.3679 0.8877 1
```

***

No. 10
Structure and calculated PXRD pattern of NaSbO7 (a crystal structure in Alexandria, relaxed with PBE; Cu Kα X-rays).

Most intense lines, 10 to 90 degrees two-theta, by angle:
14.60°, I 87; 19.52°, I 100; 20.16°, I 72; 24.39°, I 28; 25.92°, I 37; 28.15°, I 66; 32.66°, I 30; 37.37°, I 25; 38.43°, I 40; 39.84°, I 31

Structure:
```
data_NaSbO7
_chemical_formula_sum 'Na4 Sb4 O28'
_cell_length_a 6.8738
_cell_length_b 12.9202
_cell_length_c 6.4006
_cell_angle_alpha 90.00
_cell_angle_beta 90.00
_cell_angle_gamma 90.00
_space_group_name_H-M_alt 'C m c 21'
_space_group_IT_number 36
loop_
_space_group_symop_operation_xyz
'x,y,z'
'-x,-y,z+1/2'
'-x,y,z'
'x,-y,z+1/2'
'x+1/2,y+1/2,z'
'-x+1/2,-y+1/2,z+1/2'
'-x+1/2,y+1/2,z'
'x+1/2,-y+1/2,z+1/2'
loop_
_atom_site_label
_atom_site_fract_x
_atom_site_fract_y
_atom_site_fract_z
_atom_site_occupancy
Na1 0.0000 0.2209 0.0000 1
Sb1 0.0000 0.3711 0.5844 1
O1 0.0000 0.0018 0.5530 1
O2 0.0000 0.0954 0.5172 1
O3 0.0000 0.4500 0.1983 1
O4 0.1651 0.4262 0.3324 1
O5 0.2182 0.3126 0.7121 1
```

***

No. 11
Structure and calculated PXRD pattern of ErTm2Ga (a crystal structure in Alexandria, relaxed with PBE; Cu Kα X-rays).

Most intense lines, 10 to 90 degrees two-theta, by angle:
31.93°, I 100; 32.65°, I 35; 34.05°, I 34; 34.28°, I 32; 38.63°, I 16; 50.36°, I 13; 53.05°, I 14; 59.57°, I 15; 60.83°, I 14; 62.34°, I 12

Structure:
```
data_ErTm2Ga
_chemical_formula_sum 'Er4 Tm8 Ga4'
_cell_length_a 3.6241
_cell_length_b 12.5869
_cell_length_c 9.4115
_cell_angle_alpha 90.00
_cell_angle_beta 90.00
_cell_angle_gamma 90.00
_space_group_name_H-M_alt 'C m c m'
_space_group_IT_number 63
_space_group_name_Hall '-C 2c 2'
loop_
_atom_site_label
_atom_site_fract_x
_atom_site_fract_y
_atom_site_fract_z
_atom_site_occupancy
Er1 0.0000 0.0533 0.2500 1
Tm1 0.0000 0.3661 0.0490 1
Ga1 0.0000 0.2543 0.7500 1
```

***

Please write out number 2 again, unchanged.
Structure and calculated PXRD pattern of ErTh2AgRh5 (a crystal structure in Alexandria, relaxed with PBE; Cu Kα X-rays).

Most intense lines, 10 to 90 degrees two-theta, by angle:
25.31°, I 13; 30.49°, I 31; 34.17°, I 100; 37.92°, I 13; 38.95°, I 29; 40.03°, I 13; 46.75°, I 17; 47.61°, I 24; 51.68°, I 15; 59.92°, I 11

Structure:
```
data_ErTh2AgRh5
_chemical_formula_sum 'Er4 Th8 Ag4 Rh20'
_cell_length_a 8.2932
_cell_length_b 8.2932
_cell_length_c 11.1413
_cell_angle_alpha 90.00
_cell_angle_beta 90.00
_cell_angle_gamma 90.00
_space_group_name_H-M_alt 'I 4/m c m'
_space_group_IT_number 140
_space_group_name_Hall '-I 4 2c'
loop_
_atom_site_label
_atom_site_fract_x
_atom_site_fract_y
_atom_site_fract_z
_atom_site_occupancy
Er1 0.0000 0.0000 0.2500 1
Th1 0.1394 0.3606 0.0000 1
Ag1 0.0000 0.5000 0.2500 1
Rh1 0.0000 0.0000 0.0000 1
Rh2 0.1941 0.3059 0.3623 1
```